Theoretical powder X-ray diffraction pattern
Compound: Hg3H2I8
Radiation: CuKα
Structure: the GGA-PBE geometry in Alexandria
Neutral-atom scattering factors, no anomalous dispersion.

Largest 12 diffraction maxima, by angle, 5 to 70 degrees two-theta:
2θ (°)	I (rel.)
12.14	99
13.36	33
14.01	76
18.36	46
20.34	43
23.30	100
29.08	57
30.69	62
35.84	41
37.10	33
40.02	25
41.27	29

Crystal structure
a = 8.1749 Å, b = 8.1749 Å, c = 21.1838 Å
α = 90.06°, β = 90.06°, γ = 108.27°
Atoms (fractional coordinates):
Hg (0.0410, 0.5282, 0.4072)
Hg (0.1255, 0.8745, 0.7500)
Hg (0.4718, 0.9590, 0.0928)
Hg (0.5282, 0.0410, 0.9072)
Hg (0.8745, 0.1255, 0.2500)
Hg (0.9590, 0.4718, 0.5928)
H (0.0268, 0.5424, 0.1108)
H (0.4576, 0.9732, 0.3892)
H (0.5424, 0.0268, 0.6108)
H (0.9732, 0.4576, 0.8892)
I (0.0276, 0.7824, 0.8680)
I (0.0320, 0.7395, 0.0896)
I (0.2084, 0.4701, 0.3060)
I (0.2176, 0.9724, 0.6320)
I (0.2300, 0.4412, 0.5260)
I (0.2605, 0.9680, 0.4104)
I (0.4412, 0.2300, 0.0260)
I (0.4701, 0.2084, 0.8060)
I (0.5299, 0.7916, 0.1940)
I (0.5588, 0.7700, 0.9740)
I (0.7395, 0.0320, 0.5896)
I (0.7700, 0.5588, 0.4740)
I (0.7824, 0.0276, 0.3680)
I (0.7916, 0.5299, 0.6940)
I (0.9680, 0.2605, 0.9104)
I (0.9724, 0.2176, 0.1320)



Theoretical powder X-ray diffraction pattern
Compound: Tm4Cd3Ga
Radiation: CuKα
Structure: the GGA-PBE geometry in Alexandria
Neutral-atom scattering factors, no anomalous dispersion.

Largest 12 diffraction maxima, by angle, 5 to 70 degrees two-theta:
2θ (°)	I (rel.)
24.12	3
24.51	7
30.59	2
34.65	100
34.93	50
42.90	4
49.40	8
50.23	18
56.47	3
56.66	2
61.93	17
62.47	36

Crystal structure
a = 3.6325 Å, b = 3.6325 Å, c = 14.7592 Å
α = 90.00°, β = 90.00°, γ = 90.00°
Atoms (fractional coordinates):
Tm (0.0000, 0.0000, 0.1149)
Tm (0.0000, 0.0000, 0.3714)
Tm (0.0000, 0.0000, 0.6286)
Tm (0.0000, 0.0000, 0.8851)
Cd (0.5000, 0.5000, 0.2447)
Cd (0.5000, 0.5000, 0.5000)
Cd (0.5000, 0.5000, 0.7553)
Ga (0.5000, 0.5000, 0.0000)



Theoretical powder X-ray diffraction pattern
Compound: Li2Er3In3
Radiation: CuKα
Structure: the GGA-PBE geometry in Alexandria
Neutral-atom scattering factors, no anomalous dispersion.

Largest 12 diffraction maxima, by angle, 5 to 70 degrees two-theta:
2θ (°)	I (rel.)
12.33	13
21.44	55
30.68	24
33.01	100
35.52	100
37.58	17
37.73	34
43.81	18
54.31	28
59.06	21
63.58	26
68.22	24

Crystal structure
a = 8.2908 Å, b = 8.2908 Å, c = 3.1886 Å
α = 90.00°, β = 90.00°, γ = 120.00°
Atoms (fractional coordinates):
Li (0.3333, 0.6667, 0.0000)
Li (0.6667, 0.3333, 0.0000)
Er (0.0000, 0.2502, 0.0000)
Er (0.2502, 0.0000, 0.0000)
Er (0.7498, 0.7498, 0.0000)
In (0.0000, 0.5982, 0.5000)
In (0.4018, 0.4018, 0.5000)
In (0.5982, 0.0000, 0.5000)